Diffraction record for RbLi2TaF8. The powder XRD pattern is theoretical, not measured: it uses DFT lattice parameters and positions (GGA-PBE) and Cu Kα.
Peak positions follow from Bragg's law for the DFT cell and can differ from measured ones.

Top 12 peaks for 2θ = 10–90°, low angle first:
d (Å)	I_rel
7.703	33
4.639	44
4.382	100
3.852	32
3.662	100
2.734	42
2.466	21
2.320	21
2.229	57
1.831	23
1.710	23
1.574	26

Structure:
abc: 8.3252 8.3252 8.3252
angles: 38.34 38.34 38.34
Fractional positions:
Rb 0.0000 0.0000 0.0000
Li 0.2648 0.2648 0.2648
Li 0.7352 0.7352 0.7352
Ta 0.5000 0.5000 0.5000
F 0.1202 0.6183 0.6183
F 0.3395 0.3395 0.3395
F 0.3817 0.3817 0.8798
F 0.3817 0.8798 0.3817
F 0.6183 0.1202 0.6183
F 0.6183 0.6183 0.1202
F 0.6605 0.6605 0.6605
F 0.8798 0.3817 0.3817